Diffraction record for TbHoIrPb. The PXRD pattern is computed, not measured: it uses a cell relaxed with GGA-PBE and Cu Kα X-rays.

Principal peaks in the range 10° ≤ 2θ ≤ 90°, low angle first:
hkl 1 0 2, 34.01 deg, I 100; hkl 1 1 0, 36.36 deg, I 49; hkl 1 0 3, 42.54 deg, I 6; hkl 0 0 4, 45.16 deg, I 7; hkl 2 0 0, 52.37 deg, I 17; hkl 1 1 4, 59.31 deg, I 13; hkl 2 1 2, 63.92 deg, I 33; hkl 2 0 4, 71.60 deg, I 7; hkl 3 0 2, 87.12 deg, I 7; hkl 3 1 0, 88.48 deg, I 8

Cell and atoms:
Lattice parameters (Å, degrees): 3.494 3.494 8.030 90.00 90.00 90.00
Space group P4mm (No. 99)
Inequivalent atoms, fractional coordinates:
Tb1 0.000 0.000 0.000
Ho1 0.000 0.000 0.591
Ir1 0.500 0.500 0.792
Pb1 0.500 0.500 0.298